For BaYRu2, a crystal structure in Alexandria, relaxed with PBE gives the calculated powder diffractogram in this record (Cu Kα, 1.54184 Å).
Intensities are scaled so that the largest is 100.

Most intense lines, 2θ = 10–80°, by intensity:
| 2θ/deg | I (rel.) | h k l |
| --- | --- | --- |
| 29.7 | 100 | 1 1 1 |
| 30.1 | 96 | 0 1 3 |
| 36.9 | 63 | 1 1 3 |
| 15.1 | 45 | 0 0 2 |
| 39.7 | 41 | 0 2 0 |
| 52.8 | 39 | 2 1 3 |

Cell and atoms:
```
BaYRu2
1.0
4.2707 0.0000 0.0000
0.0000 4.5450 0.0000
0.0000 0.0000 11.7520
Ba Y Ru
2 2 4
Direct
0.0000 0.0000 0.0000 Ba
0.0000 0.5000 0.5000 Ba
0.5000 0.0000 0.7259 Y
0.5000 0.5000 0.2259 Y
0.0000 0.0000 0.2837 Ru
0.0000 0.5000 0.7837 Ru
0.5000 0.0000 0.3698 Ru
0.5000 0.5000 0.8698 Ru
```